Record 1
Diffraction record for CaNdTc2N4. The X-ray powder pattern is theoretical, not measured: it uses a structure optimized by DFT (PBE) and Cu Kα, 1.54184 Å.

Main lines, low angle first (15° ≤ 2θ ≤ 90°):
20.63 deg, intensity 25
31.95 deg, intensity 47
35.00 deg, intensity 100
38.34 deg, intensity 11
45.81 deg, intensity 29
58.92 deg, intensity 43
64.66 deg, intensity 13
66.79 deg, intensity 9
73.95 deg, intensity 13
77.68 deg, intensity 9

Crystal structure
```
CaNdTc2N4
1.0
-2.801 2.801 3.362
2.801 -2.801 3.362
2.801 2.801 -3.362
Ca Nd Tc N
1 1 2 4
Cartesian
0.000 0.000 0.000
0.000 0.000 3.362
2.801 0.000 1.681
0.000 2.801 1.681
1.401 1.401 -1.681
1.401 -1.401 1.681
-1.401 1.401 1.681
1.401 1.401 1.681
```

***

Record 2
Diffraction record for NaPrSBr. The X-ray powder pattern is theoretical, not measured: it uses a structure optimized by DFT (PBE) and Cu Kα, 1.54184 Å.

Main lines, low angle first (15° ≤ 2θ ≤ 90°):
26.68 deg, intensity 82
29.99 deg, intensity 27
32.27 deg, intensity 100
37.75 deg, intensity 49
44.92 deg, intensity 45
47.62 deg, intensity 20
56.38 deg, intensity 20
58.47 deg, intensity 16
67.73 deg, intensity 19
74.82 deg, intensity 17

Crystal structure
```
NaPrSBr
1.0
2.018 1.165 7.601
-2.018 1.165 7.601
0.000 -2.330 7.601
Na Pr S Br
1 1 1 1
Cartesian
0.000 0.000 0.000
0.000 0.000 4.405
0.000 0.000 13.663
0.000 0.000 17.526
```

***

Copy entry 1 word for word.
Diffraction record for CaNdTc2N4. The X-ray powder pattern is theoretical, not measured: it uses a structure optimized by DFT (PBE) and Cu Kα, 1.54184 Å.

Main lines, low angle first (15° ≤ 2θ ≤ 90°):
20.63 deg, intensity 25
31.95 deg, intensity 47
35.00 deg, intensity 100
38.34 deg, intensity 11
45.81 deg, intensity 29
58.92 deg, intensity 43
64.66 deg, intensity 13
66.79 deg, intensity 9
73.95 deg, intensity 13
77.68 deg, intensity 9

Crystal structure
```
CaNdTc2N4
1.0
-2.801 2.801 3.362
2.801 -2.801 3.362
2.801 2.801 -3.362
Ca Nd Tc N
1 1 2 4
Cartesian
0.000 0.000 0.000
0.000 0.000 3.362
2.801 0.000 1.681
0.000 2.801 1.681
1.401 1.401 -1.681
1.401 -1.401 1.681
-1.401 1.401 1.681
1.401 1.401 1.681
```

***

What did the first record say?
Diffraction record for CaNdTc2N4. The X-ray powder pattern is theoretical, not measured: it uses a structure optimized by DFT (PBE) and Cu Kα, 1.54184 Å.

Main lines, low angle first (15° ≤ 2θ ≤ 90°):
20.63 deg, intensity 25
31.95 deg, intensity 47
35.00 deg, intensity 100
38.34 deg, intensity 11
45.81 deg, intensity 29
58.92 deg, intensity 43
64.66 deg, intensity 13
66.79 deg, intensity 9
73.95 deg, intensity 13
77.68 deg, intensity 9

Crystal structure
```
CaNdTc2N4
1.0
-2.801 2.801 3.362
2.801 -2.801 3.362
2.801 2.801 -3.362
Ca Nd Tc N
1 1 2 4
Cartesian
0.000 0.000 0.000
0.000 0.000 3.362
2.801 0.000 1.681
0.000 2.801 1.681
1.401 1.401 -1.681
1.401 -1.401 1.681
-1.401 1.401 1.681
1.401 1.401 1.681
```